Entry 1:
Calculated X-ray powder pattern of H7Rh2Pb for copper Kα, from the GGA-PBE geometry in Alexandria.
Lines closer than 0.1° are merged.

Atomic structure:
```
data_H7Rh2Pb
_chemical_formula_sum 'H14 Rh4 Pb2'
_cell_length_a 5.5261
_cell_length_b 9.1267
_cell_length_c 3.5314
_cell_angle_alpha 90.00
_cell_angle_beta 90.00
_cell_angle_gamma 90.00
_space_group_name_H-M_alt 'C m m m'
_space_group_IT_number 65
_space_group_name_Hall '-C 2 2'
loop_
_atom_site_label
_atom_site_fract_x
_atom_site_fract_y
_atom_site_fract_z
H1 0.0000 0.0000 0.0000
H2 0.0000 0.1769 0.5000
H3 0.1957 0.3486 0.0000
Rh1 0.0000 0.1919 0.0000
Pb1 0.0000 0.5000 0.5000
```

Principal peaks in the range 2θ from 10° to 80°, low angle first:
2theta	Rel. int.	hkl
18.8	34.3	1 1 0
31.6	100.0	1 1 1
32.0	80.9	0 2 1
32.4	52.2	2 0 0
33.6	84.1	1 3 0
46.2	58.2	2 2 1
57.3	19.2	3 1 1
58.6	24.9	3 3 0
59.4	35.7	1 5 1
63.2	27.4	1 3 2

Entry 2:
Calculated X-ray powder pattern of Th4H3Rh12Pb for copper Kα, from the GGA-PBE geometry in Alexandria.
Lines closer than 0.1° are merged.

Atomic structure:
```
data_Th4H3Rh12Pb
_chemical_formula_sum 'Th8 H6 Rh24 Pb2'
_cell_length_a 8.6514
_cell_length_b 8.6514
_cell_length_c 8.6514
_cell_angle_alpha 90.00
_cell_angle_beta 90.00
_cell_angle_gamma 90.00
_space_group_name_H-M_alt 'I m -3 m'
_space_group_IT_number 229
_space_group_name_Hall '-I 4 2 3'
loop_
_atom_site_label
_atom_site_fract_x
_atom_site_fract_y
_atom_site_fract_z
Th1 0.2500 0.2500 0.2500
H1 0.0000 0.0000 0.5000
Rh1 0.0000 0.0000 0.2977
Rh2 0.0000 0.2500 0.5000
Pb1 0.0000 0.0000 0.0000
```

Principal peaks in the range 2θ from 10° to 80°, low angle first:
2theta	Rel. int.	hkl
29.2	42.5	2 2 0
36.0	100.0	2 2 2
39.0	16.8	3 2 1
41.8	73.0	4 0 0
49.4	11.7	3 3 2
51.8	12.7	4 2 2
60.5	43.2	4 4 0
68.6	13.5	6 2 0
72.5	30.0	6 2 2
76.2	12.9	4 4 4

Entry 3:
Calculated X-ray powder pattern of H3RuPb for copper Kα, from the GGA-PBE geometry in Alexandria.
Lines closer than 0.1° are merged.

Atomic structure:
```
data_H3RuPb
_chemical_formula_sum 'H3 Ru1 Pb1'
_cell_length_a 3.7246
_cell_length_b 3.7246
_cell_length_c 3.7246
_cell_angle_alpha 90.00
_cell_angle_beta 90.00
_cell_angle_gamma 90.00
_space_group_name_H-M_alt 'P m -3 m'
_space_group_IT_number 221
_space_group_name_Hall '-P 4 2 3'
loop_
_atom_site_label
_atom_site_fract_x
_atom_site_fract_y
_atom_site_fract_z
H1 0.0000 0.0000 0.5000
Ru1 0.0000 0.0000 0.0000
Pb1 0.5000 0.5000 0.5000
```

Principal peaks in the range 2θ from 10° to 80°, low angle first:
2theta	Rel. int.	hkl
23.9	12.0	1 0 0
34.0	100.0	1 1 0
42.0	4.6	1 1 1
48.9	18.7	2 0 0
55.1	6.0	2 1 0
60.9	38.0	2 1 1
71.7	12.0	2 2 0
76.8	3.1	3 0 0

Entry 4:
Calculated X-ray powder pattern of H5RuPb2 for copper Kα, from the GGA-PBE geometry in Alexandria.
Lines closer than 0.1° are merged.

Atomic structure:
```
data_H5RuPb2
_chemical_formula_sum 'H5 Ru1 Pb2'
_cell_length_a 5.0700
_cell_length_b 5.1783
_cell_length_c 5.2559
_cell_angle_alpha 60.62
_cell_angle_beta 61.26
_cell_angle_gamma 90.00
_space_group_name_H-M_alt 'P 1'
_space_group_IT_number 1
_space_group_name_Hall 'P 1'
loop_
_atom_site_label
_atom_site_fract_x
_atom_site_fract_y
_atom_site_fract_z
H1 0.0000 0.0000 0.0000
H2 0.0006 0.5274 0.9990
H3 0.4465 0.9714 0.5856
H4 0.4773 0.9996 0.0007
H5 0.4779 0.5271 0.9995
Ru1 0.2296 0.7542 0.0185
Pb1 0.4990 0.5236 0.4801
Pb2 0.9970 0.0217 0.4840
```

Principal peaks in the range 2θ from 10° to 80°, low angle first:
2theta	Rel. int.	hkl
23.3	29.9	0 0 1
24.6	53.0	1 1 1
34.1	100.0	1 1 0
34.2	33.1	1 1 2
34.6	31.8	0 2 1
35.4	30.0	2 0 1
42.8	13.9	2 0 2
47.6	13.2	0 0 2
50.4	23.2	2 2 2
62.7	17.6	3 1 1

Entry 5:
Calculated X-ray powder pattern of H2PbS2 for copper Kα, from the GGA-PBE geometry in Alexandria.
Lines closer than 0.1° are merged.

Atomic structure:
```
data_H2PbS2
_chemical_formula_sum 'H2 Pb1 S2'
_cell_length_a 4.3410
_cell_length_b 4.3441
_cell_length_c 5.8628
_cell_angle_alpha 90.00
_cell_angle_beta 92.84
_cell_angle_gamma 90.00
_space_group_name_H-M_alt 'P 1 m 1'
_space_group_IT_number 6
_space_group_name_Hall 'P -2y'
loop_
_atom_site_label
_atom_site_fract_x
_atom_site_fract_y
_atom_site_fract_z
H1 0.0000 0.0000 0.0000
H2 0.2878 0.5000 0.7115
Pb1 0.5617 0.5000 0.2441
S1 0.0324 0.0000 0.2312
S2 0.5993 0.5000 0.7158
```

Principal peaks in the range 2θ from 10° to 80°, low angle first:
2theta	Rel. int.	hkl
15.1	97.9	0 0 1
20.5	100.0	0 1 0
25.5	25.5	0 1 1
29.1	77.5	1 1 0
30.5	33.7	0 0 2
32.5	34.2	1 1 -1
33.4	30.3	1 1 1
41.6	28.8	0 2 0
41.9	27.4	1 1 -2
43.5	25.1	1 1 2

Entry 6:
Calculated X-ray powder pattern of Sc4SbHPb for copper Kα, from the GGA-PBE geometry in Alexandria.
Lines closer than 0.1° are merged.

Atomic structure:
```
data_Sc4SbHPb
_chemical_formula_sum 'Sc16 Sb4 H4 Pb4'
_cell_length_a 6.0107
_cell_length_b 15.8424
_cell_length_c 6.0151
_cell_angle_alpha 90.00
_cell_angle_beta 90.00
_cell_angle_gamma 90.00
_space_group_name_H-M_alt 'C m c m'
_space_group_IT_number 63
_space_group_name_Hall '-C 2c 2'
loop_
_atom_site_label
_atom_site_fract_x
_atom_site_fract_y
_atom_site_fract_z
Sc1 0.0000 0.0758 0.2500
Sc2 0.0000 0.4236 0.2500
Sc3 0.2500 0.2500 0.0000
Sb1 0.0000 0.1113 0.7500
H1 0.0000 0.2119 0.2500
Pb1 0.0000 0.3906 0.7500
```

Principal peaks in the range 2θ from 10° to 80°, low angle first:
2theta	Rel. int.	hkl
21.6	59.8	1 1 1
22.4	30.9	0 4 0
26.9	51.6	1 3 1
29.7	55.7	2 0 0
31.8	35.5	2 2 0
34.0	22.5	0 6 0
37.6	100.0	2 4 0
42.5	49.9	2 0 2
45.4	30.8	1 7 1
74.5	25.8	4 4 2

Entry 7:
Calculated X-ray powder pattern of SbH2PbW for copper Kα, from the GGA-PBE geometry in Alexandria.
Lines closer than 0.1° are merged.

Atomic structure:
```
data_SbH2PbW
_chemical_formula_sum 'Sb1 H2 Pb1 W1'
_cell_length_a 3.9226
_cell_length_b 3.9226
_cell_length_c 5.6817
_cell_angle_alpha 90.00
_cell_angle_beta 90.00
_cell_angle_gamma 90.00
_space_group_name_H-M_alt 'P 4/m m m'
_space_group_IT_number 123
_space_group_name_Hall '-P 4 2'
loop_
_atom_site_label
_atom_site_fract_x
_atom_site_fract_y
_atom_site_fract_z
Sb1 0.0000 0.0000 0.0000
H1 0.0000 0.5000 0.0000
Pb1 0.5000 0.5000 0.5000
W1 0.0000 0.0000 0.5000
```

Principal peaks in the range 2θ from 10° to 80°, low angle first:
2theta	Rel. int.	hkl
15.6	73.4	0 0 1
27.6	24.6	1 0 1
31.5	54.6	0 0 2
32.3	100.0	1 1 0
36.0	42.3	1 1 1
45.7	77.3	1 1 2
46.3	37.9	2 0 0
57.1	40.8	2 0 2
75.1	18.2	1 1 4
76.4	17.5	2 2 2

Entry 8:
Calculated X-ray powder pattern of HPbSe2 for copper Kα, from the GGA-PBE geometry in Alexandria.
Lines closer than 0.1° are merged.

Atomic structure:
```
data_HPbSe2
_chemical_formula_sum 'H2 Pb2 Se4'
_cell_length_a 4.5829
_cell_length_b 5.4534
_cell_length_c 9.5017
_cell_angle_alpha 84.82
_cell_angle_beta 78.67
_cell_angle_gamma 67.25
_space_group_name_H-M_alt 'P -1'
_space_group_IT_number 2
_space_group_name_Hall '-P 1'
loop_
_atom_site_label
_atom_site_fract_x
_atom_site_fract_y
_atom_site_fract_z
H1 0.1820 0.2091 0.4803
Pb1 0.4490 0.4355 0.7689
Se1 0.0596 0.7663 0.0231
Se2 0.2021 0.1907 0.3229
```

Principal peaks in the range 2θ from 10° to 80°, low angle first:
2theta	Rel. int.	hkl
17.6	55.3	0 1 0
19.1	59.2	0 0 2
25.6	68.2	1 1 -1
25.9	77.8	0 1 2
26.1	100.0	1 0 2
32.7	39.6	1 -1 0
36.2	33.9	1 -1 2
36.6	31.1	1 2 -1
39.4	31.3	2 1 1
41.0	34.4	1 1 4